Record 1
This entry pairs a crystal structure of Cr3Sn3Sb2O16 with its theoretical XRD peak list. Radiation: λ = 1.5418 Å (Cu Kα). Structure: a crystal structure in the Materials Project, relaxed with GGA+U.

Cell and atoms:
a b c (Å): 6.1808 6.1860 9.3228
angles (deg): 89.99 89.22 60.20
Element x y z (fractional)
1 Cr 0.0000 0.0000 0.0000
2 Cr 0.0019 0.5101 0.9907
3 Cr 0.8291 0.3407 0.4932
4 Sn 0.3373 0.8337 0.4951
5 Sn 0.3379 0.3394 0.4947
6 Sn 0.5087 0.0004 0.9862
7 Sb 0.5176 0.4959 0.7764
8 Sb 0.8483 0.8302 0.2712
9 O 0.1248 0.7002 0.1181
10 O 0.1559 0.1698 0.0776
11 O 0.1615 0.1746 0.5910
12 O 0.2181 0.6456 0.6367
13 O 0.3417 0.8232 0.8831
14 O 0.3432 0.3418 0.8827
15 O 0.5097 0.5010 0.3822
16 O 0.5174 0.9971 0.3780
17 O 0.6553 0.2143 0.6263
18 O 0.6559 0.6411 0.6268
19 O 0.7025 0.6923 0.1256
20 O 0.7092 0.1188 0.1258
21 O 0.8298 0.3382 0.8886
22 O 0.8570 0.8385 0.8884
23 O 0.9980 0.9984 0.3827
24 O 0.9989 0.5132 0.3816

Largest 12 diffraction maxima, by angle, 2θ = 10–80°:
d (Å), Rel. int.
4.664, 88
4.625, 100
3.541, 27
2.697, 19
2.681, 33
2.595, 22
2.586, 31
2.576, 51
2.564, 49
2.331, 19
1.546, 29
1.536, 18

---

Record 2
This entry pairs a crystal structure of Zn2Cr5P6O24 with its theoretical XRD peak list. Radiation: λ = 1.5418 Å (Cu Kα). Structure: a crystal structure in the Materials Project, relaxed with GGA+U.

Cell and atoms:
a b c (Å): 6.3850 7.9819 9.4370
angles (deg): 105.41 108.09 101.33
Element x y z (fractional)
1 Zn 0.2083 0.1847 0.2048
2 Zn 0.7917 0.8153 0.7952
3 Cr 0.1194 0.5429 0.3907
4 Cr 0.4509 0.2833 0.9764
5 Cr 0.5000 0.0000 0.5000
6 Cr 0.5491 0.7167 0.0236
7 Cr 0.8806 0.4571 0.6093
8 P 0.1048 0.7654 0.1309
9 P 0.2746 0.8521 0.7348
10 P 0.4062 0.4054 0.6668
11 P 0.5938 0.5946 0.3332
12 P 0.7254 0.1479 0.2652
13 P 0.8952 0.2346 0.8691
14 O 0.0446 0.7335 0.7313
15 O 0.0532 0.6331 0.2156
16 O 0.1323 0.2420 0.9944
17 O 0.1855 0.4571 0.5813
18 O 0.2221 0.9629 0.2568
19 O 0.2506 0.7139 0.0352
20 O 0.2754 0.7986 0.5622
21 O 0.2918 0.0520 0.7966
22 O 0.3804 0.4655 0.3403
23 O 0.3810 0.2096 0.5840
24 O 0.4290 0.4517 0.8444
25 O 0.4859 0.8124 0.8436
26 O 0.5141 0.1876 0.1564
27 O 0.5710 0.5483 0.1556
28 O 0.6190 0.7904 0.4160
29 O 0.6196 0.5345 0.6597
30 O 0.7082 0.9480 0.2034
31 O 0.7246 0.2014 0.4378
32 O 0.7494 0.2861 0.9648
33 O 0.7779 0.0371 0.7432
34 O 0.8145 0.5429 0.4187
35 O 0.8677 0.7580 0.0056
36 O 0.9468 0.3669 0.7844
37 O 0.9554 0.2665 0.2687

Largest 12 diffraction maxima, by angle, 2θ = 10–80°:
d (Å), Rel. int.
6.837, 18
4.772, 13
4.355, 17
3.168, 11
3.127, 19
3.021, 14
2.993, 100
2.908, 19
2.819, 10
2.693, 18
2.627, 12
2.533, 11

---

Record 3
This entry pairs a crystal structure of MgV2NiTe2O10 with its theoretical XRD peak list. Radiation: λ = 1.5418 Å (Cu Kα). Structure: a crystal structure in the Materials Project, relaxed with GGA+U.

Cell and atoms:
a b c (Å): 5.1519 6.4837 6.7394
angles (deg): 80.96 78.55 67.83
Element x y z (fractional)
1 Mg 0.0000 0.0000 0.0000
2 V 0.0951 0.6358 0.3764
3 V 0.5371 0.8339 0.1599
4 Ni 0.7892 0.2594 0.3251
5 Te 0.2674 0.4667 0.8803
6 Te 0.3787 0.0112 0.6105
7 O 0.0367 0.2954 0.8938
8 O 0.0564 0.3791 0.4026
9 O 0.1259 0.9480 0.2749
10 O 0.1404 0.6696 0.6505
11 O 0.4255 0.8476 0.8801
12 O 0.4982 0.5518 0.2477
13 O 0.5944 0.0963 0.1230
14 O 0.5993 0.1893 0.6117
15 O 0.6685 0.7983 0.4406
16 O 0.9789 0.6834 0.0708

Largest 12 diffraction maxima, by angle, 2θ = 10–80°:
d (Å), Rel. int.
4.716, 51
4.238, 26
4.143, 68
3.428, 33
3.189, 26
3.070, 61
2.998, 100
2.934, 35
2.820, 35
2.778, 43
2.523, 47
1.836, 28

---

Record 4
This entry pairs a crystal structure of Cs4Fe2O5 with its theoretical XRD peak list. Radiation: λ = 1.5418 Å (Cu Kα). Structure: a crystal structure in the Materials Project, relaxed with GGA+U.

Cell and atoms:
a b c (Å): 9.9681 9.9681 7.8170
angles (deg): 96.12 96.12 135.48
Element x y z (fractional)
1 Cs 0.0172 0.9828 0.7500
2 Cs 0.1666 0.5257 0.3846
3 Cs 0.4668 0.5332 0.7500
4 Cs 0.4743 0.8334 0.1154
5 Cs 0.5257 0.1666 0.8846
6 Cs 0.5332 0.4668 0.2500
7 Cs 0.8334 0.4743 0.6154
8 Cs 0.9828 0.0172 0.2500
9 Fe 0.0078 0.6920 0.0980
10 Fe 0.3080 0.9922 0.4020
11 Fe 0.6920 0.0078 0.5980
12 Fe 0.9922 0.3080 0.9020
13 O 0.0000 0.5000 0.0000
14 O 0.0337 0.7265 0.3565
15 O 0.1974 0.3592 0.0319
16 O 0.2735 0.9663 0.1435
17 O 0.3592 0.1974 0.5319
18 O 0.5000 0.0000 0.5000
19 O 0.6408 0.8026 0.4681
20 O 0.7265 0.0337 0.8565
21 O 0.8026 0.6408 0.9681
22 O 0.9663 0.2735 0.6435

Largest 12 diffraction maxima, by angle, 2θ = 10–80°:
d (Å), Rel. int.
4.467, 38
3.474, 67
3.430, 54
3.373, 80
3.230, 46
3.075, 76
2.914, 96
2.881, 100
2.699, 37
2.575, 47
2.490, 57
1.850, 42

---

Please write out number 2 again, unchanged.
This entry pairs a crystal structure of Zn2Cr5P6O24 with its theoretical XRD peak list. Radiation: λ = 1.5418 Å (Cu Kα). Structure: a crystal structure in the Materials Project, relaxed with GGA+U.

Cell and atoms:
a b c (Å): 6.3850 7.9819 9.4370
angles (deg): 105.41 108.09 101.33
Element x y z (fractional)
1 Zn 0.2083 0.1847 0.2048
2 Zn 0.7917 0.8153 0.7952
3 Cr 0.1194 0.5429 0.3907
4 Cr 0.4509 0.2833 0.9764
5 Cr 0.5000 0.0000 0.5000
6 Cr 0.5491 0.7167 0.0236
7 Cr 0.8806 0.4571 0.6093
8 P 0.1048 0.7654 0.1309
9 P 0.2746 0.8521 0.7348
10 P 0.4062 0.4054 0.6668
11 P 0.5938 0.5946 0.3332
12 P 0.7254 0.1479 0.2652
13 P 0.8952 0.2346 0.8691
14 O 0.0446 0.7335 0.7313
15 O 0.0532 0.6331 0.2156
16 O 0.1323 0.2420 0.9944
17 O 0.1855 0.4571 0.5813
18 O 0.2221 0.9629 0.2568
19 O 0.2506 0.7139 0.0352
20 O 0.2754 0.7986 0.5622
21 O 0.2918 0.0520 0.7966
22 O 0.3804 0.4655 0.3403
23 O 0.3810 0.2096 0.5840
24 O 0.4290 0.4517 0.8444
25 O 0.4859 0.8124 0.8436
26 O 0.5141 0.1876 0.1564
27 O 0.5710 0.5483 0.1556
28 O 0.6190 0.7904 0.4160
29 O 0.6196 0.5345 0.6597
30 O 0.7082 0.9480 0.2034
31 O 0.7246 0.2014 0.4378
32 O 0.7494 0.2861 0.9648
33 O 0.7779 0.0371 0.7432
34 O 0.8145 0.5429 0.4187
35 O 0.8677 0.7580 0.0056
36 O 0.9468 0.3669 0.7844
37 O 0.9554 0.2665 0.2687

Largest 12 diffraction maxima, by angle, 2θ = 10–80°:
d (Å), Rel. int.
6.837, 18
4.772, 13
4.355, 17
3.168, 11
3.127, 19
3.021, 14
2.993, 100
2.908, 19
2.819, 10
2.693, 18
2.627, 12
2.533, 11

---

Please write out number 3 again, unchanged.
This entry pairs a crystal structure of MgV2NiTe2O10 with its theoretical XRD peak list. Radiation: λ = 1.5418 Å (Cu Kα). Structure: a crystal structure in the Materials Project, relaxed with GGA+U.

Cell and atoms:
a b c (Å): 5.1519 6.4837 6.7394
angles (deg): 80.96 78.55 67.83
Element x y z (fractional)
1 Mg 0.0000 0.0000 0.0000
2 V 0.0951 0.6358 0.3764
3 V 0.5371 0.8339 0.1599
4 Ni 0.7892 0.2594 0.3251
5 Te 0.2674 0.4667 0.8803
6 Te 0.3787 0.0112 0.6105
7 O 0.0367 0.2954 0.8938
8 O 0.0564 0.3791 0.4026
9 O 0.1259 0.9480 0.2749
10 O 0.1404 0.6696 0.6505
11 O 0.4255 0.8476 0.8801
12 O 0.4982 0.5518 0.2477
13 O 0.5944 0.0963 0.1230
14 O 0.5993 0.1893 0.6117
15 O 0.6685 0.7983 0.4406
16 O 0.9789 0.6834 0.0708

Largest 12 diffraction maxima, by angle, 2θ = 10–80°:
d (Å), Rel. int.
4.716, 51
4.238, 26
4.143, 68
3.428, 33
3.189, 26
3.070, 61
2.998, 100
2.934, 35
2.820, 35
2.778, 43
2.523, 47
1.836, 28